Theoretical powder X-ray diffraction pattern
Compound: Dy8Tm3Mg
Radiation: CuKα
Structure: DFT lattice parameters and positions (PBE)
Intensities are scaled so that the largest is 100.

Top 10 peaks for 15° ≤ 2θ ≤ 90°, sorted by position:
2θ = 31.3°, I 100; 2θ = 36.2°, I 51; 2θ = 52.2°, I 36; 2θ = 62.1°, I 28; 2θ = 62.2°, I 14; 2θ = 65.2°, I 12; 2θ = 85.3°, I 12; 2θ = 85.4°, I 6; 2θ = 88.1°, I 10; 2θ = 88.2°, I 6

Atomic structure:
a b c (Å): 9.2644 9.2644 9.9193
angles (deg): 122.31 122.31 31.07
Fractional positions:
Dy 0.0000 0.0000 0.0000
Dy 0.0022 0.0022 0.5038
Dy 0.1677 0.1677 0.4174
Dy 0.3330 0.3330 0.8340
Dy 0.4999 0.4999 0.2498
Dy 0.6679 0.6679 0.6694
Dy 0.8347 0.8347 0.0887
Dy 0.8358 0.8358 0.5841
Tm 0.1673 0.1673 0.9196
Tm 0.3354 0.3354 0.3365
Tm 0.5006 0.5006 0.7527
Mg 0.6677 0.6677 0.1666


Theoretical powder X-ray diffraction pattern
Compound: LiTlBi2O6
Radiation: CuKα
Structure: DFT lattice parameters and positions (PBE)
Intensities are scaled so that the largest is 100.

Top 10 peaks for 15° ≤ 2θ ≤ 90°, sorted by position:
2θ = 18.8°, I 42; 2θ = 21.4°, I 44; 2θ = 29.5°, I 100; 2θ = 31.3°, I 91; 2θ = 43.5°, I 40; 2θ = 47.7°, I 33; 2θ = 54.5°, I 40; 2θ = 55.6°, I 27; 2θ = 63.6°, I 14; 2θ = 73.1°, I 16

Atomic structure:
a b c (Å): 6.0825 6.0825 6.0825
angles (deg): 56.13 56.13 56.13
Fractional positions:
Li 0.0000 0.0000 0.0000
Tl 0.5001 0.5001 0.5001
Bi 0.2895 0.2895 0.2895
Bi 0.7775 0.7775 0.7775
O 0.0974 0.3703 0.6783
O 0.1852 0.9096 0.5662
O 0.3703 0.6783 0.0974
O 0.5662 0.1852 0.9096
O 0.6783 0.0974 0.3703
O 0.9096 0.5662 0.1852


Theoretical powder X-ray diffraction pattern
Compound: SrSiHg4
Radiation: CuKα
Structure: DFT lattice parameters and positions (PBE)
Intensities are scaled so that the largest is 100.

Top 10 peaks for 15° ≤ 2θ ≤ 90°, sorted by position:
2θ = 17.9°, I 70; 2θ = 34.7°, I 100; 2θ = 36.2°, I 81; 2θ = 42.1°, I 30; 2θ = 46.1°, I 20; 2θ = 55.6°, I 35; 2θ = 61.1°, I 36; 2θ = 64.2°, I 15; 2θ = 73.1°, I 33; 2θ = 87.2°, I 23

Atomic structure:
a b c (Å): 6.0710 6.0710 6.0710
angles (deg): 60.00 60.00 60.00
Fractional positions:
Sr 0.0000 0.0000 0.0000
Si 0.2500 0.2500 0.2500
Hg 0.1267 0.6244 0.6244
Hg 0.6244 0.1267 0.6244
Hg 0.6244 0.6244 0.1267
Hg 0.6244 0.6244 0.6244


Theoretical powder X-ray diffraction pattern
Compound: PmDy2YP4
Radiation: CuKα
Structure: DFT lattice parameters and positions (PBE)
Intensities are scaled so that the largest is 100.

Top 10 peaks for 15° ≤ 2θ ≤ 90°, sorted by position:
2θ = 27.0°, I 77; 2θ = 31.3°, I 100; 2θ = 44.9°, I 73; 2θ = 53.2°, I 38; 2θ = 55.7°, I 25; 2θ = 65.3°, I 12; 2θ = 72.0°, I 15; 2θ = 74.2°, I 32; 2θ = 82.7°, I 25; 2θ = 89.0°, I 12

Atomic structure:
a b c (Å): 6.9970 4.0425 6.9974
angles (deg): 90.00 109.47 90.00
Fractional positions:
Pm 0.0000 0.0000 0.0000
Dy 0.0000 0.5000 0.5000
Dy 0.5000 0.0000 0.5000
Y 0.5000 0.5000 0.0000
P 0.2521 0.0000 0.7471
P 0.2548 0.5000 0.2554
P 0.7452 0.5000 0.7446
P 0.7479 0.0000 0.2529


Q: Number 1 is which compound?
A: Dy8Tm3Mg